1.
This entry pairs a crystal structure of LaPr3C8 with its simulated powder X-ray diffraction pattern. Radiation: Cu Kα. Structure: a DFT-relaxed cell (PBE, Alexandria).
Peak positions follow from Bragg's law for the DFT cell and can differ from measured ones.

Main lines, in order of rising 2θ (10 to 80 degrees two-theta):
| two_theta | d [Å] | Rel. int. |
| --- | --- | --- |
| 24.27 | 3.667 | 57 |
| 28.23 | 3.161 | 100 |
| 34.60 | 2.593 | 36 |
| 45.23 | 2.005 | 61 |
| 52.22 | 1.752 | 20 |
| 69.48 | 1.353 | 15 |

Crystal structure
Cell: 6.542 6.542 6.542 Å, 111.82 111.82 104.87°
Sites, in units of the cell vectors:
La 0.000 0.000 0.000
Pr 0.250 0.750 0.500
Pr 0.500 0.500 0.000
Pr 0.750 0.250 0.500
C 0.069 0.069 0.667
C 0.126 0.589 0.000
C 0.403 0.403 0.333
C 0.411 0.411 0.537
C 0.589 0.126 0.000
C 0.597 0.931 0.000
C 0.874 0.874 0.463
C 0.931 0.597 0.000

---

2.
This entry pairs a crystal structure of La3PrC8 with its simulated powder X-ray diffraction pattern. Radiation: Cu Kα. Structure: a DFT-relaxed cell (PBE, Alexandria).
Peak positions follow from Bragg's law for the DFT cell and can differ from measured ones.

Main lines, in order of rising 2θ (10 to 80 degrees two-theta):
| two_theta | d [Å] | Rel. int. |
| --- | --- | --- |
| 24.67 | 3.608 | 94 |
| 27.74 | 3.215 | 62 |
| 28.92 | 3.087 | 100 |
| 33.18 | 2.700 | 38 |
| 44.59 | 2.032 | 59 |
| 46.92 | 1.936 | 44 |

Crystal structure
Cell: 6.289 6.289 7.250 Å, 120.98 120.98 79.06°
Sites, in units of the cell vectors:
La 0.000 0.000 0.000
La 0.250 0.750 0.500
La 0.750 0.250 0.500
Pr 0.500 0.500 0.000
C 0.069 0.564 0.000
C 0.184 0.184 0.502
C 0.318 0.318 0.501
C 0.436 0.931 0.000
C 0.564 0.069 0.000
C 0.682 0.682 0.499
C 0.816 0.816 0.498
C 0.931 0.436 0.000

---

3.
This entry pairs a crystal structure of LaPrC2 with its simulated powder X-ray diffraction pattern. Radiation: Cu Kα. Structure: a DFT-relaxed cell (PBE, Alexandria).
Peak positions follow from Bragg's law for the DFT cell and can differ from measured ones.

Main lines, in order of rising 2θ (10 to 80 degrees two-theta):
| two_theta | d [Å] | Rel. int. |
| --- | --- | --- |
| 25.78 | 3.455 | 41 |
| 27.29 | 3.268 | 100 |
| 31.41 | 2.848 | 34 |
| 31.82 | 2.812 | 62 |
| 33.74 | 2.657 | 52 |
| 43.23 | 2.093 | 25 |

Crystal structure
Cell: 3.910 4.143 5.429 Å, 90.00 101.62 90.00°
Sites, in units of the cell vectors:
La 0.000 0.000 0.000
Pr 0.647 0.500 0.477
C 0.233 0.500 0.782
C 0.499 0.500 0.982

---

4.
This entry pairs a crystal structure of La2Re2C3 with its simulated powder X-ray diffraction pattern. Radiation: Cu Kα. Structure: a DFT-relaxed cell (PBE, Alexandria).
Peak positions follow from Bragg's law for the DFT cell and can differ from measured ones.

Main lines, in order of rising 2θ (10 to 80 degrees two-theta):
| two_theta | d [Å] | Rel. int. |
| --- | --- | --- |
| 15.08 | 5.875 | 25 |
| 31.06 | 2.880 | 56 |
| 31.97 | 2.800 | 100 |
| 33.04 | 2.711 | 36 |
| 36.65 | 2.452 | 74 |
| 52.61 | 1.740 | 40 |

Crystal structure
Cell: 5.840 5.840 6.042 Å, 102.87 102.87 34.62°
Sites, in units of the cell vectors:
La 0.106 0.106 0.336
La 0.894 0.894 0.664
Re 0.344 0.344 0.102
Re 0.656 0.656 0.898
C 0.218 0.218 0.773
C 0.500 0.500 0.000
C 0.782 0.782 0.227

---

5.
This entry pairs a crystal structure of La2ReC3 with its simulated powder X-ray diffraction pattern. Radiation: Cu Kα. Structure: a DFT-relaxed cell (PBE, Alexandria).
Peak positions follow from Bragg's law for the DFT cell and can differ from measured ones.

Main lines, in order of rising 2θ (10 to 80 degrees two-theta):
| two_theta | d [Å] | Rel. int. |
| --- | --- | --- |
| 27.63 | 3.228 | 31 |
| 28.88 | 3.092 | 26 |
| 30.27 | 2.952 | 57 |
| 31.32 | 2.856 | 100 |
| 32.58 | 2.748 | 37 |
| 41.45 | 2.179 | 24 |

Crystal structure
Cell: 6.394 6.394 12.912 Å, 90.00 90.00 125.00°
Sites, in units of the cell vectors:
La 0.057 0.943 0.860
La 0.143 0.857 0.418
La 0.357 0.643 0.918
La 0.443 0.557 0.360
La 0.557 0.443 0.640
La 0.643 0.357 0.082
La 0.857 0.143 0.582
La 0.943 0.057 0.140
Re 0.245 0.755 0.659
Re 0.255 0.745 0.159
Re 0.745 0.255 0.841
Re 0.755 0.245 0.341
C 0.030 0.470 0.750
C 0.081 0.919 0.624
C 0.153 0.847 0.039
C 0.347 0.653 0.539
C 0.419 0.581 0.124
C 0.470 0.030 0.250
C 0.530 0.970 0.750
C 0.581 0.419 0.876
C 0.653 0.347 0.461
C 0.847 0.153 0.961
C 0.919 0.081 0.376
C 0.970 0.530 0.250

---

6.
This entry pairs a crystal structure of LaRe4C2 with its simulated powder X-ray diffraction pattern. Radiation: Cu Kα. Structure: a DFT-relaxed cell (PBE, Alexandria).
Peak positions follow from Bragg's law for the DFT cell and can differ from measured ones.

Main lines, in order of rising 2θ (10 to 80 degrees two-theta):
| two_theta | d [Å] | Rel. int. |
| --- | --- | --- |
| 12.41 | 7.132 | 65 |
| 37.30 | 2.411 | 100 |
| 37.84 | 2.377 | 19 |
| 45.41 | 1.997 | 22 |
| 45.79 | 1.982 | 17 |
| 45.98 | 1.974 | 17 |

Crystal structure
Cell: 7.402 7.402 3.948 Å, 90.00 90.00 148.95°
Sites, in units of the cell vectors:
La 0.000 0.000 0.000
Re 0.179 0.821 0.500
Re 0.312 0.688 0.000
Re 0.688 0.312 0.000
Re 0.821 0.179 0.500
C 0.367 0.633 0.500
C 0.633 0.367 0.500